# 1
Calculated powder X-ray diffraction pattern
Compound: Ba5Hf2N6
Radiation: Cu Kα X-rays
Structure: a structure optimized by DFT (PBE)
Kinematic intensities with the Lorentz-polarization factor, no thermal factor.

Largest 8 diffraction maxima, sorted by position, 15 to 90 degrees two-theta:
| d (Å) | intensity |
| --- | --- |
| 5.866 | 32 |
| 3.338 | 100 |
| 3.281 | 42 |
| 3.191 | 35 |
| 3.166 | 28 |
| 2.985 | 49 |
| 2.950 | 47 |
| 2.906 | 39 |

Cell and atoms:
```
Ba5Hf2N6
1.0
5.6333 -3.7380 0.0000
5.6333 3.7380 0.0000
-1.6569 0.0000 14.8721
Ba Hf N
10 4 12
direct
0.0919 0.9081 0.7500
0.1911 0.7304 0.0210
0.2696 0.8089 0.4790
0.2961 0.3942 0.2941
0.3942 0.2961 0.7941
0.6058 0.7039 0.2059
0.7039 0.6058 0.7059
0.7304 0.1911 0.5210
0.8089 0.2696 0.9790
0.9081 0.0919 0.2500
0.1478 0.4035 0.5772
0.4035 0.1478 0.0772
0.5965 0.8522 0.9228
0.8522 0.5965 0.4228
0.0455 0.2453 0.6621
0.1007 0.2974 0.4438
0.2453 0.0455 0.1621
0.2974 0.1007 0.9438
0.4188 0.4604 0.6207
0.4604 0.4188 0.1207
0.5396 0.5812 0.8793
0.5812 0.5396 0.3793
0.7026 0.8993 0.0562
0.7547 0.9545 0.8379
0.8993 0.7026 0.5562
0.9545 0.7547 0.3379
```

***

# 2
Calculated powder X-ray diffraction pattern
Compound: MnGaN2
Radiation: Cu Kα X-rays
Structure: a structure optimized by DFT (PBE)
Kinematic intensities with the Lorentz-polarization factor, no thermal factor.

Largest 8 diffraction maxima, sorted by position, 15 to 90 degrees two-theta:
| d (Å) | intensity |
| --- | --- |
| 3.827 | 34 |
| 2.919 | 100 |
| 2.780 | 22 |
| 2.459 | 21 |
| 2.383 | 84 |
| 2.013 | 25 |
| 1.881 | 37 |
| 1.846 | 92 |

Cell and atoms:
```
MnGaN2
1.0
5.2764 0.0000 0.0000
0.0000 2.9190 0.0000
0.0000 0.0000 5.5599
Mn Ga N
2 2 4
direct
0.0000 0.0000 0.0000
0.5000 0.0000 0.0000
0.2500 0.0000 0.4086
0.7500 0.0000 0.5914
0.2500 0.0000 0.7399
0.2500 0.5000 0.1653
0.7500 0.0000 0.2601
0.7500 0.5000 0.8347
```

***

# 3
Calculated powder X-ray diffraction pattern
Compound: CdRe2N4O8
Radiation: Cu Kα X-rays
Structure: a structure optimized by DFT (PBE)
Kinematic intensities with the Lorentz-polarization factor, no thermal factor.

Largest 8 diffraction maxima, sorted by position, 15 to 90 degrees two-theta:
| d (Å) | intensity |
| --- | --- |
| 3.736 | 100 |
| 3.186 | 26 |
| 2.641 | 9 |
| 2.157 | 41 |
| 1.868 | 21 |
| 1.671 | 16 |
| 1.412 | 24 |
| 1.245 | 12 |

Cell and atoms:
```
CdRe2N4O8
1.0
0.0000 5.2828 5.2828
5.2828 0.0000 5.2828
5.2828 5.2828 0.0000
Cd Re N O
1 2 4 8
direct
0.0000 0.0000 0.0000
0.2500 0.2500 0.2500
0.5000 0.5000 0.5000
0.3812 0.8729 0.8729
0.8729 0.3812 0.8729
0.8729 0.8729 0.3812
0.8729 0.8729 0.8729
0.2104 0.5965 0.5965
0.3459 0.3459 0.3459
0.3459 0.3459 0.9622
0.3459 0.9622 0.3459
0.5965 0.2104 0.5965
0.5965 0.5965 0.2104
0.5965 0.5965 0.5965
0.9622 0.3459 0.3459
```

***

# 4
Calculated powder X-ray diffraction pattern
Compound: YGaIr
Radiation: Cu Kα X-rays
Structure: a structure optimized by DFT (PBE)
Kinematic intensities with the Lorentz-polarization factor, no thermal factor.

Largest 8 diffraction maxima, sorted by position, 15 to 90 degrees two-theta:
| d (Å) | intensity |
| --- | --- |
| 3.359 | 35 |
| 3.342 | 44 |
| 2.673 | 37 |
| 2.551 | 100 |
| 2.221 | 68 |
| 2.206 | 48 |
| 1.961 | 36 |
| 1.863 | 25 |

Cell and atoms:
```
YGaIr
1.0
6.8397 0.0000 0.0000
0.0000 4.4121 0.0000
0.0000 0.0000 7.7126
Y Ga Ir
4 4 4
direct
0.0166 0.2500 0.1928
0.4834 0.7500 0.6928
0.5166 0.2500 0.3072
0.9834 0.7500 0.8072
0.1652 0.2500 0.5748
0.3348 0.7500 0.0748
0.6652 0.2500 0.9252
0.8348 0.7500 0.4252
0.2251 0.7500 0.3985
0.2749 0.2500 0.8985
0.7251 0.7500 0.1015
0.7749 0.2500 0.6015
```

***

# 5
Calculated powder X-ray diffraction pattern
Compound: CdHgC4S4N4
Radiation: Cu Kα X-rays
Structure: a structure optimized by DFT (PBE)
Kinematic intensities with the Lorentz-polarization factor, no thermal factor.

Largest 8 diffraction maxima, sorted by position, 15 to 90 degrees two-theta:
| d (Å) | intensity |
| --- | --- |
| 5.860 | 100 |
| 4.225 | 48 |
| 4.144 | 37 |
| 3.427 | 78 |
| 2.958 | 39 |
| 2.641 | 38 |
| 2.621 | 34 |
| 1.932 | 38 |

Cell and atoms:
```
CdHgC4S4N4
1.0
-5.8602 5.8602 2.2647
5.8602 -5.8602 2.2647
5.8602 5.8602 -2.2647
Cd Hg C S N
1 1 4 4 4
direct
0.0000 0.0000 0.0000
0.2500 0.7500 0.5000
0.2997 0.1443 0.6863
0.3866 0.7003 0.8446
0.4580 0.6134 0.3137
0.8557 0.5420 0.1554
0.1008 0.5727 0.7705
0.4273 0.1978 0.5281
0.6697 0.8992 0.4719
0.8022 0.3303 0.2295
0.2125 0.1142 0.8001
0.3142 0.4124 0.1999
0.5876 0.7875 0.9017
0.8858 0.6858 0.0983
```